No. 1
Simulated X-ray diffraction stick pattern
Compound: Mg2HOs
Radiation: Cu Kα
Structure: a crystal structure in Alexandria, relaxed with PBE
Kinematic intensities with the Lorentz-polarization factor, no thermal factor.

Atomic structure:
Lattice parameters (Å, degrees): 4.996 5.050 5.077 119.66 97.45 97.23
Atoms (fractional coordinates):
Mg 0.000 0.000 0.000
Mg 0.004 0.667 0.323
Mg 0.514 0.118 0.780
Mg 0.524 0.438 0.443
H 0.206 0.123 0.450
H 0.737 0.024 0.433
Os 0.041 0.371 0.696
Os 0.480 0.739 0.062

Peak list (10 most intense, 10° ≤ 2θ ≤ 90°, in order of falling intensity)
2θ 20.29, intensity 100
2θ 24.45, intensity 59
2θ 24.56, intensity 57
2θ 42.75, intensity 48
2θ 30.78, intensity 43
2θ 38.10, intensity 41
2θ 37.22, intensity 41
2θ 38.30, intensity 41
2θ 36.51, intensity 41
2θ 45.42, intensity 36

No. 2
Simulated X-ray diffraction stick pattern
Compound: Mg2PH
Radiation: Cu Kα
Structure: a crystal structure in Alexandria, relaxed with PBE
Kinematic intensities with the Lorentz-polarization factor, no thermal factor.

Atomic structure:
Lattice parameters (Å, degrees): 4.016 4.016 17.717 90.00 90.00 120.00
Atoms (fractional coordinates):
Mg 0.003 0.337 0.435
Mg 0.333 0.997 0.769
Mg 0.337 0.003 0.565
Mg 0.663 0.667 0.102
Mg 0.667 0.663 0.898
Mg 0.997 0.333 0.231
P 0.000 0.330 0.833
P 0.330 0.000 0.167
P 0.670 0.670 0.500
H 0.000 0.335 0.333
H 0.335 0.000 0.667
H 0.665 0.665 0.000

Peak list (10 most intense, 10° ≤ 2θ ≤ 90°, in order of falling intensity)
2θ 15.00, intensity 100
2θ 36.19, intensity 86
2θ 27.55, intensity 64
2θ 45.15, intensity 47
2θ 47.84, intensity 25
2θ 58.46, intensity 21
2θ 59.18, intensity 19
2θ 77.43, intensity 17
2θ 48.74, intensity 15
2θ 44.26, intensity 12

No. 3
Simulated X-ray diffraction stick pattern
Compound: MgPH
Radiation: Cu Kα
Structure: a crystal structure in Alexandria, relaxed with PBE
Kinematic intensities with the Lorentz-polarization factor, no thermal factor.

Atomic structure:
Lattice parameters (Å, degrees): 6.830 8.877 7.156 90.00 90.00 90.00
Atoms (fractional coordinates):
Mg 0.150 0.127 0.039
Mg 0.150 0.373 0.539
Mg 0.350 0.627 0.039
Mg 0.350 0.873 0.539
Mg 0.650 0.127 0.461
Mg 0.650 0.373 0.961
Mg 0.850 0.627 0.461
Mg 0.850 0.873 0.961
P 0.223 0.635 0.376
P 0.223 0.865 0.876
P 0.277 0.135 0.376
P 0.277 0.365 0.876
P 0.723 0.635 0.124
P 0.723 0.865 0.624
P 0.777 0.135 0.124
P 0.777 0.365 0.624
H 0.130 0.072 0.499
H 0.130 0.428 0.999
H 0.370 0.572 0.499
H 0.370 0.928 0.999
H 0.630 0.072 0.001
H 0.630 0.428 0.501
H 0.870 0.572 0.001
H 0.870 0.928 0.501

Peak list (10 most intense, 10° ≤ 2θ ≤ 90°, in order of falling intensity)
2θ 23.59, intensity 100
2θ 26.09, intensity 68
2θ 45.15, intensity 49
2θ 20.57, intensity 47
2θ 40.65, intensity 42
2θ 35.46, intensity 40
2θ 43.05, intensity 36
2θ 28.16, intensity 34
2θ 24.89, intensity 33
2θ 42.91, intensity 24

No. 4
Simulated X-ray diffraction stick pattern
Compound: Mg2PHPt6
Radiation: Cu Kα
Structure: a crystal structure in Alexandria, relaxed with PBE
Kinematic intensities with the Lorentz-polarization factor, no thermal factor.

Atomic structure:
Lattice parameters (Å, degrees): 5.574 5.574 6.566 115.18 115.18 59.81
Atoms (fractional coordinates):
Mg 0.000 0.000 0.000
Mg 0.569 0.569 0.705
P 0.303 0.303 0.866
H 0.929 0.929 0.279
Pt 0.024 0.529 0.573
Pt 0.032 0.032 0.597
Pt 0.052 0.543 0.153
Pt 0.529 0.024 0.573
Pt 0.543 0.052 0.153
Pt 0.557 0.557 0.168

Peak list (10 most intense, 10° ≤ 2θ ≤ 90°, in order of falling intensity)
2θ 43.03, intensity 100
2θ 38.83, intensity 90
2θ 21.13, intensity 63
2θ 31.27, intensity 59
2θ 38.72, intensity 44
2θ 57.50, intensity 28
2θ 27.83, intensity 21
2θ 67.18, intensity 20
2θ 75.96, intensity 19
2θ 45.46, intensity 17